Record 1
Diffraction record for SrLaAl. The X-ray powder pattern is simulated, not measured: it uses a GGA-PBE-relaxed structure and Cu Kα.
Lines closer than 0.1° are merged.

```
data_SrLaAl
_symmetry_space_group_name_H-M 'P 1'
_symmetry_Int_Tables_number 1
_cell_length_a 6.0486
_cell_length_b 6.2862
_cell_length_c 6.2866
_cell_angle_alpha 65.67
_cell_angle_beta 80.86
_cell_angle_gamma 80.92
loop_
_symmetry_equiv_pos_as_xyz
'x,y,z'
loop_
_atom_site_label
_atom_site_fract_x
_atom_site_fract_y
_atom_site_fract_z
Sr1 0.0000 0.0000 0.0000
Sr2 0.1901 0.6299 0.6276
La1 0.5914 0.0740 0.5215
La2 0.5918 0.5195 0.0735
Al1 0.0763 0.3184 0.3192
Al2 0.7273 0.5344 0.5329
```

Peak list (10 most intense, 2θ from 10° to 90°, by angle)
Position (°2θ)  I (rel.)
20.5  834
24.8  791
29.0  328
30.1  387
30.2  1000
31.4  755
31.8  352
33.5  345
35.0  322
48.8  352

Record 2
Diffraction record for LaTb2Al9. The X-ray powder pattern is simulated, not measured: it uses a GGA-PBE-relaxed structure and Cu Kα.
Lines closer than 0.1° are merged.

```
data_LaTb2Al9
_symmetry_space_group_name_H-M 'R -3 m'
_symmetry_Int_Tables_number 166
_symmetry_space_group_name_Hall '-R 3 2"'
_cell_length_a 5.6353
_cell_length_b 5.6353
_cell_length_c 26.3996
_cell_angle_alpha 90.00
_cell_angle_beta 90.00
_cell_angle_gamma 120.00
loop_
_atom_site_label
_atom_site_fract_x
_atom_site_fract_y
_atom_site_fract_z
La1 0.0000 0.0000 0.0000
Tb1 0.0000 0.0000 0.1414
Al1 0.0000 0.0000 0.3356
Al2 0.0000 0.0000 0.5000
Al3 0.0076 0.5038 0.9161
```

Peak list (10 most intense, 2θ from 10° to 90°, by angle)
Position (°2θ)  I (rel.)
10.1  243
18.5  786
29.9  867
31.8  901
32.8  540
37.0  459
37.9  1000
55.5  319
60.7  251
62.2  338

Record 3
Diffraction record for LaTb12Al3. The X-ray powder pattern is simulated, not measured: it uses a GGA-PBE-relaxed structure and Cu Kα.
Lines closer than 0.1° are merged.

```
data_LaTb12Al3
_symmetry_space_group_name_H-M 'P 4/m m m'
_symmetry_Int_Tables_number 123
_symmetry_space_group_name_Hall '-P 4 2'
_cell_length_a 4.8142
_cell_length_b 4.8142
_cell_length_c 19.8126
_cell_angle_alpha 90.00
_cell_angle_beta 90.00
_cell_angle_gamma 90.00
loop_
_atom_site_label
_atom_site_fract_x
_atom_site_fract_y
_atom_site_fract_z
La1 0.0000 0.0000 0.0000
Tb1 0.0000 0.5000 0.1382
Tb2 0.0000 0.5000 0.3794
Tb3 0.5000 0.5000 0.0000
Tb4 0.5000 0.5000 0.2600
Tb5 0.5000 0.5000 0.5000
Al1 0.0000 0.0000 0.2595
Al2 0.0000 0.0000 0.5000
```

Peak list (10 most intense, 2θ from 10° to 90°, by angle)
Position (°2θ)  I (rel.)
18.4  75
31.9  1000
36.3  153
37.4  343
53.1  206
53.9  120
62.5  99
64.0  271
66.7  104
87.1  81

Record 4
Diffraction record for La4Tb4Al. The X-ray powder pattern is simulated, not measured: it uses a GGA-PBE-relaxed structure and Cu Kα.
Lines closer than 0.1° are merged.

```
data_La4Tb4Al
_symmetry_space_group_name_H-M 'I 2 2 2'
_symmetry_Int_Tables_number 23
_cell_length_a 6.3902
_cell_length_b 8.5372
_cell_length_c 11.2494
_cell_angle_alpha 90.00
_cell_angle_beta 90.00
_cell_angle_gamma 90.00
loop_
_symmetry_equiv_pos_as_xyz
'x,y,z'
'-x,-y,z'
'x,-y,-z'
'-x,y,-z'
'x+1/2,y+1/2,z+1/2'
'-x+1/2,-y+1/2,z+1/2'
'x+1/2,-y+1/2,-z+1/2'
'-x+1/2,y+1/2,-z+1/2'
loop_
_atom_site_label
_atom_site_fract_x
_atom_site_fract_y
_atom_site_fract_z
La1 0.0000 0.0000 0.0000
La2 0.0000 0.1666 0.5000
La3 0.0000 0.5000 0.0000
Tb1 0.2172 0.3613 0.2581
Al1 0.0000 0.5000 0.5000
```

Peak list (10 most intense, 2θ from 10° to 90°, by angle)
Position (°2θ)  I (rel.)
26.3  1000
31.8  423
32.2  761
34.8  474
38.1  124
45.5  213
47.9  190
48.4  148
54.0  132
56.9  144